No. 1
Structure and calculated powder XRD pattern of Sr4ZrFe (a DFT-relaxed cell (GGA-PBE, Alexandria); Cu Kα (λ = 1.5418 Å)).
Kinematic intensities with the Lorentz-polarization factor, no thermal factor.

Main lines, sorted by position (10° ≤ 2θ ≤ 80°):
index, 2θ/deg, I (rel.)
2 2 0, 25.6, 22
3 1 1, 30.1, 100
2 2 2, 31.5, 46
3 3 3, 48.0, 35
4 4 0, 52.6, 32
7 3 1, 73.9, 21

```
data_Sr4ZrFe
_chemical_formula_sum 'Sr16 Zr4 Fe4'
_space_group_name_H-M_alt 'F -4 3 m'
_space_group_IT_number 216
_space_group_name_Hall 'F -4 2 3'
_cell_length_a 9.851
_cell_length_b 9.851
_cell_length_c 9.851
_cell_angle_alpha 90.00
_cell_angle_beta 90.00
_cell_angle_gamma 90.00
loop_
_atom_site_label
_atom_site_type_symbol
_atom_site_fract_x
_atom_site_fract_y
_atom_site_fract_z
Sr1 Sr 0.125 0.125 0.125
Zr1 Zr 0.250 0.250 0.750
Fe1 Fe 0.000 0.000 0.500
```



No. 2
Structure and calculated powder XRD pattern of BeNb3Co3 (a DFT-relaxed cell (GGA-PBE, Alexandria); Cu Kα (λ = 1.5418 Å)).
Kinematic intensities with the Lorentz-polarization factor, no thermal factor.

Main lines, sorted by position (10° ≤ 2θ ≤ 80°):
index, 2θ/deg, I (rel.)
2 0 1, 37.2, 100
3 0 0, 38.0, 21
2 1 1, 43.4, 67
2 2 0, 44.2, 27
3 1 0, 46.1, 25
4 2 1, 76.6, 31

```
data_BeNb3Co3
_chemical_formula_sum 'Be2 Nb6 Co6'
_space_group_name_H-M_alt 'P 63/m m c'
_space_group_IT_number 194
_space_group_name_Hall '-P 6c 2c'
_cell_length_a 8.2000
_cell_length_b 8.2000
_cell_length_c 3.3042
_cell_angle_alpha 90.00
_cell_angle_beta 90.00
_cell_angle_gamma 120.00
loop_
_atom_site_label
_atom_site_type_symbol
_atom_site_fract_x
_atom_site_fract_y
_atom_site_fract_z
Be1 Be 0.3333 0.6667 0.2500
Nb1 Nb 0.1598 0.3196 0.2500
Co1 Co 0.1300 0.5650 0.7500
```



No. 3
Structure and calculated powder XRD pattern of TmZn11 (a DFT-relaxed cell (GGA-PBE, Alexandria); Cu Kα (λ = 1.5418 Å)).
Kinematic intensities with the Lorentz-polarization factor, no thermal factor.

Main lines, sorted by position (10° ≤ 2θ ≤ 80°):
index, 2θ/deg, I (rel.)
3 2 1, 33.4, 41
3 1 2, 37.8, 100
4 2 0, 38.2, 68
1 0 3, 40.6, 31
5 0 1, 45.0, 41
5 5 2, 68.8, 30

```
data_TmZn11
_chemical_formula_sum 'Tm4 Zn44'
_space_group_name_H-M_alt 'I 41/a m d'
_space_group_IT_number 141
_cell_length_a 10.535
_cell_length_b 10.535
_cell_length_c 6.816
_cell_angle_alpha 90.00
_cell_angle_beta 90.00
_cell_angle_gamma 90.00
loop_
_space_group_symop_operation_xyz
'x,y,z'
'-x,-y,-z'
'-y+1/4,x+3/4,z+1/4'
'y+1/4,-x+3/4,-z+1/4'
'-x+1/2,-y,z+1/2'
'x+1/2,y,-z+1/2'
'y+1/4,-x+1/4,z+3/4'
'-y+1/4,x+1/4,-z+3/4'
'x,-y,-z'
'-x,y,z'
'-y+1/4,-x+1/4,-z+3/4'
'y+1/4,x+1/4,z+3/4'
'-x+1/2,y,-z+1/2'
'x+1/2,-y,z+1/2'
'y+1/4,x+3/4,-z+1/4'
'-y+1/4,-x+3/4,z+1/4'
'x+1/2,y+1/2,z+1/2'
'-x+1/2,-y+1/2,-z+1/2'
'-y+3/4,x+1/4,z+3/4'
'y+3/4,-x+1/4,-z+3/4'
'-x,-y+1/2,z'
'x,y+1/2,-z'
'y+3/4,-x+3/4,z+1/4'
'-y+3/4,x+3/4,-z+1/4'
'x+1/2,-y+1/2,-z+1/2'
'-x+1/2,y+1/2,z+1/2'
'-y+3/4,-x+3/4,-z+1/4'
'y+3/4,x+3/4,z+1/4'
'-x,y+1/2,-z'
'x,-y+1/2,z'
'y+3/4,x+1/4,-z+3/4'
'-y+3/4,-x+1/4,z+3/4'
loop_
_atom_site_label
_atom_site_type_symbol
_atom_site_fract_x
_atom_site_fract_y
_atom_site_fract_z
Tm1 Tm 0.000 0.250 0.375
Zn1 Zn 0.000 0.000 0.000
Zn2 Zn 0.000 0.250 0.875
Zn3 Zn 0.121 0.046 0.675
```